# 1
Nd4HoTe5: simulated X-ray powder pattern (a wavelength of 1.5418 Å), based on a cell relaxed with GGA-PBE.
Kinematic intensities with the Lorentz-polarization factor, no thermal factor.

The 12 most intense peaks (2θ = 15–90°), low angle first:
2theta, d (Å), I_rel
27.8, 3.205, 46
28.4, 3.139, 100
36.9, 2.436, 7
40.2, 2.242, 69
40.7, 2.219, 38
50.0, 1.825, 37
58.8, 1.569, 13
65.4, 1.427, 11
66.3, 1.409, 16
66.6, 1.404, 18
72.8, 1.299, 8
73.7, 1.286, 28

abc: 16.3290 16.3290 16.3290
angles: 164.38 164.38 22.16
Positions (direct):
Nd1 0.1047 0.1047 0.0000
Nd2 0.3087 0.3087 0.0000
Nd3 0.6913 0.6913 0.0000
Nd4 0.8953 0.8953 0.0000
Ho1 0.5000 0.5000 0.0000
Te1 0.0000 0.0000 0.0000
Te2 0.2050 0.2050 0.0000
Te3 0.4061 0.4061 0.0000
Te4 0.5939 0.5939 0.0000
Te5 0.7950 0.7950 0.0000



# 2
Nd2Ho2Te7: simulated X-ray powder pattern (a wavelength of 1.5418 Å), based on a cell relaxed with GGA-PBE.
Kinematic intensities with the Lorentz-polarization factor, no thermal factor.

The 12 most intense peaks (2θ = 15–90°), low angle first:
2theta, d (Å), I_rel
21.1, 4.211, 13
26.6, 3.354, 15
27.6, 3.234, 14
28.0, 3.188, 31
29.3, 3.045, 14
31.8, 2.812, 100
32.2, 2.777, 32
36.0, 2.492, 45
38.3, 2.348, 26
41.9, 2.157, 26
56.0, 1.642, 22
58.1, 1.589, 16

abc: 9.6533 9.6533 9.6533
angles: 154.17 68.06 118.26
Positions (direct):
Nd1 0.2419 0.0000 0.2419
Nd2 0.7581 0.0000 0.7581
Ho1 0.2275 0.2275 0.0000
Ho2 0.6715 0.1715 0.5000
Te1 0.0506 0.6905 0.3601
Te2 0.3304 0.6905 0.6399
Te3 0.3960 0.5029 0.8931
Te4 0.6098 0.5029 0.1069
Te5 0.6252 0.2987 0.3264
Te6 0.9049 0.9049 0.0000
Te7 0.9723 0.2987 0.6736



# 3
NdHo2Te4: simulated X-ray powder pattern (a wavelength of 1.5418 Å), based on a cell relaxed with GGA-PBE.
Kinematic intensities with the Lorentz-polarization factor, no thermal factor.

The 12 most intense peaks (2θ = 15–90°), low angle first:
2theta, d (Å), I_rel
21.7, 4.098, 65
26.9, 3.317, 62
28.0, 3.192, 23
28.6, 3.122, 85
30.4, 2.936, 100
32.4, 2.765, 20
37.1, 2.420, 55
39.7, 2.271, 30
42.0, 2.153, 74
42.1, 2.146, 39
50.7, 1.802, 22
60.9, 1.520, 30

abc: 7.4794 7.4794 14.9700
angles: 90.00 90.00 146.66
Positions (direct):
Nd1 0.1255 0.8745 0.7500
Nd2 0.8745 0.1255 0.2500
Ho1 0.3687 0.6313 0.5680
Ho2 0.3687 0.6313 0.9320
Ho3 0.6313 0.3687 0.0680
Ho4 0.6313 0.3687 0.4320
Te1 0.0000 0.0000 0.0000
Te2 0.0000 0.0000 0.5000
Te3 0.2755 0.7245 0.1197
Te4 0.2755 0.7245 0.3803
Te5 0.4603 0.5397 0.7500
Te6 0.5397 0.4603 0.2500
Te7 0.7245 0.2755 0.6197
Te8 0.7245 0.2755 0.8803